Simulated PXRD pattern
Compound: LiY3WO8
Radiation: Cu Kα, 1.54184 Å
Structure: the PBE+U geometry in Alexandria
Peak positions follow from Bragg's law for the DFT cell and can differ from measured ones.

Crystal structure
```
data_LiY3WO8
_chemical_formula_sum 'Li2 Y6 W2 O16'
_cell_length_a 5.7593
_cell_length_b 11.2250
_cell_length_c 6.1454
_cell_angle_alpha 90.00
_cell_angle_beta 90.00
_cell_angle_gamma 90.00
_space_group_name_H-M_alt 'C 2 2 2'
_space_group_IT_number 21
_space_group_name_Hall 'C 2 2'
loop_
_atom_site_label
_atom_site_fract_x
_atom_site_fract_y
_atom_site_fract_z
Li1 0.0000 0.0000 0.0000
Y1 0.0000 0.0000 0.5000
Y2 0.2500 0.2500 0.7422
W1 0.0000 0.5000 0.0000
O1 0.0000 0.1954 0.5000
O2 0.0000 0.3242 0.0000
O3 0.2463 0.4710 0.7853
```

Top 10 peaks for 10° ≤ 2θ ≤ 80°, low angle first:
22.6 deg, 3.936 Å, I 100.0
31.9 deg, 2.806 Å, I 21.3
32.0 deg, 2.794 Å, I 20.7
33.2 deg, 2.695 Å, I 18.6
35.0 deg, 2.562 Å, I 15.8
43.0 deg, 2.101 Å, I 23.9
45.8 deg, 1.980 Å, I 18.5
47.8 deg, 1.902 Å, I 12.6
50.5 deg, 1.809 Å, I 10.9
54.6 deg, 1.682 Å, I 17.3